# 1
Calculated PXRD pattern
Compound: CeGe
Radiation: λ = 1.5418 Å (Cu Kα)
Structure: a DFT-relaxed cell (PBE, Alexandria)
No peak broadening, texture or thermal motion is included.

Structural model:
abc: 8.2279 4.0500 5.9131
angles: 90.00 90.00 90.00
Space group Pnma (No. 62)
Inequivalent atoms, fractional coordinates:
Ce 0.1828 0.2500 0.1203 (multiplicity 4)
Ge 0.0379 0.2500 0.6403 (multiplicity 4)

Most intense lines, 15° ≤ 2θ ≤ 90°, by angle:
28.8 deg, d 3.096, intensity 80, (1 1 1); 31.0 deg, d 2.886, intensity 97, (2 1 0); 32.2 deg, d 2.782, intensity 95, (1 0 2); 34.6 deg, d 2.594, intensity 100, (2 1 1); 36.1 deg, d 2.488, intensity 59, (3 0 1); 39.3 deg, d 2.293, intensity 88, (1 1 2); 44.8 deg, d 2.025, intensity 42, (0 2 0); 46.8 deg, d 1.943, intensity 33, (4 0 1); 56.2 deg, d 1.637, intensity 39, (1 2 2); 58.8 deg, d 1.571, intensity 28, (3 2 1); 62.9 deg, d 1.477, intensity 26, (0 0 4); 66.7 deg, d 1.402, intensity 22, (4 2 1)

# 2
Calculated PXRD pattern
Compound: Ce3Ge4
Radiation: λ = 1.5418 Å (Cu Kα)
Structure: a DFT-relaxed cell (PBE, Alexandria)
No peak broadening, texture or thermal motion is included.

Structural model:
abc: 4.1656 10.9361 14.5039
angles: 90.00 90.00 90.00
Space group Cmcm (No. 63)
Inequivalent atoms, fractional coordinates:
Ce 0.0000 0.0343 0.2500 (multiplicity 4)
Ce 0.0000 0.3244 0.0963 (multiplicity 8)
Ge 0.0000 0.0000 0.0000 (multiplicity 4)
Ge 0.0000 0.2380 0.7500 (multiplicity 4)
Ge 0.0000 0.3887 0.6086 (multiplicity 8)

Most intense lines, 15° ≤ 2θ ≤ 90°, by angle:
26.0 deg, d 3.430, intensity 20, (1 1 2); 29.5 deg, d 3.032, intensity 33, (1 1 3); 29.6 deg, d 3.022, intensity 21, (0 2 4); 32.6 deg, d 2.743, intensity 85, (1 3 0); 33.3 deg, d 2.687, intensity 29, (0 4 1); 33.8 deg, d 2.653, intensity 100, (1 1 4); 37.2 deg, d 2.417, intensity 25, (0 0 6); 37.7 deg, d 2.386, intensity 43, (1 3 3); 41.3 deg, d 2.184, intensity 34, (0 4 4); 43.4 deg, d 2.083, intensity 37, (2 0 0); 50.3 deg, d 1.813, intensity 26, (0 0 8); 64.0 deg, d 1.455, intensity 19, (1 7 1)

# 3
Calculated PXRD pattern
Compound: Ce2Ge
Radiation: λ = 1.5418 Å (Cu Kα)
Structure: a DFT-relaxed cell (PBE, Alexandria)
No peak broadening, texture or thermal motion is included.

Structural model:
abc: 4.4243 15.7613 4.1703
angles: 90.00 90.00 90.00
Space group Cmmm (No. 65)
Inequivalent atoms, fractional coordinates:
Ce 0.0000 0.0000 0.0000 (multiplicity 2)
Ce 0.0000 0.1893 0.5000 (multiplicity 4)
Ce 0.0000 0.5000 0.5000 (multiplicity 2)
Ge 0.0000 0.3546 0.0000 (multiplicity 4)

Most intense lines, 15° ≤ 2θ ≤ 90°, by angle:
24.1 deg, d 3.686, intensity 6, (0 2 1); 34.1 deg, d 2.628, intensity 100, (1 3 1); 34.9 deg, d 2.567, intensity 7, (1 5 0); 40.8 deg, d 2.212, intensity 14, (2 0 0); 43.4 deg, d 2.085, intensity 12, (0 0 2); 50.5 deg, d 1.808, intensity 4, (1 7 1); 54.2 deg, d 1.692, intensity 8, (2 6 0); 56.3 deg, d 1.633, intensity 7, (0 6 2); 61.1 deg, d 1.517, intensity 15, (2 0 2); 70.0 deg, d 1.344, intensity 10, (3 3 1); 71.9 deg, d 1.314, intensity 7, (2 6 2); 73.7 deg, d 1.286, intensity 9, (1 3 3)

# 4
Calculated PXRD pattern
Compound: Ce4Ge7
Radiation: λ = 1.5418 Å (Cu Kα)
Structure: a DFT-relaxed cell (PBE, Alexandria)
No peak broadening, texture or thermal motion is included.

Structural model:
abc: 5.9472 14.1228 11.8621
angles: 90.00 90.00 90.00
Space group C222_1 (No. 20)
Inequivalent atoms, fractional coordinates:
Ce 0.0000 0.0061 0.2500 (multiplicity 4)
Ce 0.0056 0.5000 0.0000 (multiplicity 4)
Ce 0.2426 0.2553 0.6191 (multiplicity 8)
Ge 0.0000 0.4455 0.7500 (multiplicity 4)
Ge 0.0102 0.0887 0.9896 (multiplicity 8)
Ge 0.1777 0.3540 0.3371 (multiplicity 8)
Ge 0.2409 0.3266 0.8703 (multiplicity 8)

Most intense lines, 15° ≤ 2θ ≤ 90°, by angle:
28.5 deg, d 3.134, intensity 40, (1 3 2); 32.7 deg, d 2.737, intensity 100, (2 2 0); 38.4 deg, d 2.344, intensity 46, (1 5 2); 43.1 deg, d 2.100, intensity 36, (2 0 4); 50.2 deg, d 1.819, intensity 17, (1 7 2); 50.6 deg, d 1.805, intensity 8, (2 4 4); 59.0 deg, d 1.565, intensity 10, (3 5 2); 59.1 deg, d 1.563, intensity 10, (1 5 6); 68.2 deg, d 1.375, intensity 8, (3 7 2); 68.3 deg, d 1.374, intensity 8, (1 7 6); 72.3 deg, d 1.306, intensity 9, (4 2 4); 72.5 deg, d 1.304, intensity 9, (2 2 8)

# 5
Calculated PXRD pattern
Compound: Ce4Ge7
Radiation: λ = 1.5418 Å (Cu Kα)
Structure: a DFT-relaxed cell (PBE, Alexandria)
No peak broadening, texture or thermal motion is included.

Structural model:
abc: 4.0912 4.1565 15.0192
angles: 90.00 90.00 90.00
Space group Pmm2 (No. 25)
Inequivalent atoms, fractional coordinates:
Ce 0.0000 0.0000 0.0000 (multiplicity 1)
Ce 0.0000 0.5000 0.2410 (multiplicity 1)
Ce 0.5000 0.0000 0.7479 (multiplicity 1)
Ce 0.5000 0.5000 0.4856 (multiplicity 1)
Ge 0.0000 0.0000 0.3988 (multiplicity 1)
Ge 0.0000 0.0000 0.5686 (multiplicity 1)
Ge 0.0000 0.5000 0.6620 (multiplicity 1)
Ge 0.0000 0.5000 0.8336 (multiplicity 1)
Ge 0.5000 0.0000 0.2953 (multiplicity 1)
Ge 0.5000 0.5000 0.0948 (multiplicity 1)
Ge 0.5000 0.5000 0.9295 (multiplicity 1)

Most intense lines, 15° ≤ 2θ ≤ 90°, by angle:
23.7 deg, d 3.755, intensity 10, (0 0 4); 27.9 deg, d 3.198, intensity 19, (0 1 3); 28.2 deg, d 3.168, intensity 12, (1 0 3); 33.0 deg, d 2.718, intensity 100, (1 1 2); 36.9 deg, d 2.435, intensity 19, (0 1 5); 37.1 deg, d 2.421, intensity 26, (1 0 5); 43.5 deg, d 2.078, intensity 19, (0 2 0); 44.3 deg, d 2.046, intensity 18, (2 0 0); 47.7 deg, d 1.907, intensity 12, (0 1 7); 47.9 deg, d 1.900, intensity 10, (1 0 7); 58.5 deg, d 1.577, intensity 14, (1 2 5); 63.8 deg, d 1.458, intensity 12, (2 2 0)

# 6
Calculated PXRD pattern
Compound: Ce3Ge
Radiation: λ = 1.5418 Å (Cu Kα)
Structure: a DFT-relaxed cell (PBE, Alexandria)
No peak broadening, texture or thermal motion is included.

Structural model:
abc: 11.8531 11.8531 5.9872
angles: 90.00 90.00 90.00
Space group P4_2/n (No. 86, origin choice 2)
Inequivalent atoms, fractional coordinates:
Ce 0.0270 0.5968 0.1887 (multiplicity 8)
Ce 0.1158 0.1924 0.5056 (multiplicity 8)
Ce 0.1191 0.6652 0.7780 (multiplicity 8)
Ge 0.0510 0.1710 0.0049 (multiplicity 8)

Most intense lines, 15° ≤ 2θ ≤ 90°, by angle:
18.2 deg, d 4.872, intensity 19, (1 1 1); 28.1 deg, d 3.177, intensity 21, (3 1 1); 30.2 deg, d 2.963, intensity 27, (4 0 0); 31.0 deg, d 2.882, intensity 86, (2 3 1); 31.7 deg, d 2.819, intensity 63, (1 1 2); 33.8 deg, d 2.652, intensity 100, (2 4 0); 34.6 deg, d 2.592, intensity 46, (4 1 1); 38.5 deg, d 2.339, intensity 78, (1 3 2); 38.7 deg, d 2.325, intensity 22, (5 1 0); 54.1 deg, d 1.695, intensity 18, (3 6 1); 54.6 deg, d 1.682, intensity 27, (5 3 2); 56.5 deg, d 1.629, intensity 18, (7 0 1)